1.
Theoretical powder diffraction line list of AcN for Cu Ka, from DFT lattice parameters and positions (PBE).
Neutral-atom scattering factors, no anomalous dispersion.

Principal peaks in the range 15 to 90 degrees two-theta, sorted by position:
d [Å]	2theta	intensity
3.685	24.15	30
3.223	27.68	26
3.199	27.89	100
2.426	37.05	18
2.128	42.49	27
1.856	49.08	26
1.776	51.46	29
1.772	51.59	20
1.361	68.98	17
1.169	82.54	12

Structural model:
```
data_AcN
_symmetry_space_group_name_H-M 'P 1'
_symmetry_Int_Tables_number 1
_cell_length_a 4.255
_cell_length_b 4.255
_cell_length_c 6.446
_cell_angle_alpha 90.00
_cell_angle_beta 90.00
_cell_angle_gamma 120.00
loop_
_symmetry_equiv_pos_as_xyz
'x,y,z'
loop_
_atom_site_label
_atom_site_fract_x
_atom_site_fract_y
_atom_site_fract_z
Ac1 0.333 0.667 0.000
Ac2 0.667 0.333 0.500
N1 0.333 0.667 0.395
N2 0.667 0.333 0.895
```

=====

2.
Theoretical powder diffraction line list of Gd2Ni17 for Cu Ka, from DFT lattice parameters and positions (PBE).
Neutral-atom scattering factors, no anomalous dispersion.

Principal peaks in the range 15 to 90 degrees two-theta, sorted by position:
d [Å]	2theta	intensity
2.880	31.05	35
2.393	37.58	41
2.143	42.18	39
2.073	43.68	63
2.054	44.08	100
2.003	45.28	32
1.841	49.52	23
1.440	64.73	17
1.197	80.22	17
1.166	82.78	19

Structural model:
```
data_Gd2Ni17
_symmetry_space_group_name_H-M 'P 1'
_symmetry_Int_Tables_number 1
_cell_length_a 8.290
_cell_length_b 8.290
_cell_length_c 8.011
_cell_angle_alpha 90.00
_cell_angle_beta 90.00
_cell_angle_gamma 120.00
loop_
_symmetry_equiv_pos_as_xyz
'x,y,z'
loop_
_atom_site_label
_atom_site_fract_x
_atom_site_fract_y
_atom_site_fract_z
Gd1 0.000 0.000 0.250
Gd2 0.000 0.000 0.750
Gd3 0.333 0.667 0.250
Gd4 0.667 0.333 0.750
Ni1 0.000 0.500 0.000
Ni2 0.000 0.500 0.500
Ni3 0.044 0.372 0.750
Ni4 0.044 0.672 0.750
Ni5 0.166 0.332 0.021
Ni6 0.166 0.332 0.479
Ni7 0.166 0.834 0.021
Ni8 0.166 0.834 0.479
Ni9 0.328 0.372 0.750
Ni10 0.328 0.956 0.750
Ni11 0.332 0.166 0.521
Ni12 0.332 0.166 0.979
Ni13 0.333 0.667 0.602
Ni14 0.333 0.667 0.898
Ni15 0.372 0.044 0.250
Ni16 0.372 0.328 0.250
Ni17 0.500 0.000 0.000
Ni18 0.500 0.000 0.500
Ni19 0.500 0.500 0.000
Ni20 0.500 0.500 0.500
Ni21 0.628 0.672 0.750
Ni22 0.628 0.956 0.750
Ni23 0.667 0.333 0.102
Ni24 0.667 0.333 0.398
Ni25 0.668 0.834 0.021
Ni26 0.668 0.834 0.479
Ni27 0.672 0.044 0.250
Ni28 0.672 0.628 0.250
Ni29 0.834 0.166 0.521
Ni30 0.834 0.166 0.979
Ni31 0.834 0.668 0.521
Ni32 0.834 0.668 0.979
Ni33 0.956 0.328 0.250
Ni34 0.956 0.628 0.250
```

=====

3.
Theoretical powder diffraction line list of BiPO4 for Cu Ka, from DFT lattice parameters and positions (PBE).
Neutral-atom scattering factors, no anomalous dispersion.

Principal peaks in the range 15 to 90 degrees two-theta, sorted by position:
d [Å]	2theta	intensity
4.757	18.65	92
4.270	20.80	50
3.753	23.71	34
3.653	24.37	77
3.323	26.83	63
3.117	28.64	27
3.087	28.92	100
2.361	38.11	34
2.303	39.11	28
1.981	45.80	37

Structural model:
```
data_BiPO4
_symmetry_space_group_name_H-M 'P 1'
_symmetry_Int_Tables_number 1
_cell_length_a 6.779
_cell_length_b 6.811
_cell_length_c 9.035
_cell_angle_alpha 90.00
_cell_angle_beta 126.04
_cell_angle_gamma 90.00
loop_
_symmetry_equiv_pos_as_xyz
'x,y,z'
loop_
_atom_site_label
_atom_site_fract_x
_atom_site_fract_y
_atom_site_fract_z
Bi1 0.216 0.120 0.255
Bi2 0.216 0.380 0.755
Bi3 0.784 0.620 0.245
Bi4 0.784 0.880 0.745
P1 0.400 0.643 0.276
P2 0.400 0.857 0.776
P3 0.600 0.143 0.224
P4 0.600 0.357 0.724
O1 0.014 0.183 0.939
O2 0.014 0.317 0.439
O3 0.200 0.730 0.069
O4 0.200 0.770 0.569
O5 0.280 0.032 0.803
O6 0.280 0.468 0.303
O7 0.445 0.678 0.903
O8 0.445 0.822 0.403
O9 0.555 0.178 0.597
O10 0.555 0.322 0.097
O11 0.720 0.532 0.697
O12 0.720 0.968 0.197
O13 0.800 0.230 0.431
O14 0.800 0.270 0.931
O15 0.986 0.683 0.561
O16 0.986 0.817 0.061
```

=====

4.
Theoretical powder diffraction line list of Lu3Mg2MnS8 for Cu Ka, from DFT lattice parameters and positions (PBE).
Neutral-atom scattering factors, no anomalous dispersion.

Principal peaks in the range 15 to 90 degrees two-theta, sorted by position:
d [Å]	2theta	intensity
3.285	27.15	68
3.270	27.27	35
3.242	27.52	18
3.140	28.42	23
2.708	33.07	100
2.481	36.21	24
1.927	47.17	45
1.904	47.78	44
1.839	49.58	13
1.570	58.82	18

Structural model:
```
data_Lu3Mg2MnS8
_symmetry_space_group_name_H-M 'P 1'
_symmetry_Int_Tables_number 1
_cell_length_a 7.619
_cell_length_b 7.619
_cell_length_c 7.609
_cell_angle_alpha 119.16
_cell_angle_beta 119.16
_cell_angle_gamma 60.71
loop_
_symmetry_equiv_pos_as_xyz
'x,y,z'
loop_
_atom_site_label
_atom_site_fract_x
_atom_site_fract_y
_atom_site_fract_z
Lu1 0.000 0.000 0.000
Lu2 0.000 0.500 0.500
Lu3 0.500 0.000 0.500
Mg1 0.375 0.375 0.124
Mg2 0.625 0.625 0.876
Mn1 0.000 0.000 0.500
S1 0.227 0.766 0.734
S2 0.234 0.773 0.266
S3 0.235 0.235 0.728
S4 0.244 0.244 0.255
S5 0.756 0.756 0.745
S6 0.765 0.765 0.272
S7 0.766 0.227 0.734
S8 0.773 0.234 0.266
```

=====

5.
Theoretical powder diffraction line list of Mg3H2O4 for Cu Ka, from DFT lattice parameters and positions (PBE).
Neutral-atom scattering factors, no anomalous dispersion.

Principal peaks in the range 15 to 90 degrees two-theta, sorted by position:
d [Å]	2theta	intensity
4.945	17.94	21
2.637	33.99	9
2.343	38.41	12
2.208	40.87	100
2.071	43.72	24
1.937	46.90	18
1.694	54.12	7
1.536	60.23	40
1.490	62.32	24
1.261	75.37	12

Structural model:
```
data_Mg3H2O4
_symmetry_space_group_name_H-M 'P 1'
_symmetry_Int_Tables_number 1
_cell_length_a 3.073
_cell_length_b 3.073
_cell_length_c 19.778
_cell_angle_alpha 90.00
_cell_angle_beta 90.00
_cell_angle_gamma 120.00
loop_
_symmetry_equiv_pos_as_xyz
'x,y,z'
loop_
_atom_site_label
_atom_site_fract_x
_atom_site_fract_y
_atom_site_fract_z
Mg1 0.000 0.000 0.126
Mg2 0.000 0.000 0.874
Mg3 0.333 0.667 0.374
Mg4 0.333 0.667 0.750
Mg5 0.667 0.333 0.250
Mg6 0.667 0.333 0.626
H1 0.333 0.667 0.524
H2 0.333 0.667 0.977
H3 0.667 0.333 0.023
H4 0.667 0.333 0.476
O1 0.000 0.000 0.312
O2 0.000 0.000 0.688
O3 0.333 0.667 0.188
O4 0.333 0.667 0.573
O5 0.333 0.667 0.928
O6 0.667 0.333 0.072
O7 0.667 0.333 0.427
O8 0.667 0.333 0.812
```

=====

6.
Theoretical powder diffraction line list of La3AlC for Cu Ka, from DFT lattice parameters and positions (PBE).
Neutral-atom scattering factors, no anomalous dispersion.

Principal peaks in the range 15 to 90 degrees two-theta, sorted by position:
d [Å]	2theta	intensity
5.205	17.03	23
3.681	24.18	13
3.005	29.73	100
2.603	34.46	56
2.328	38.68	12
1.840	49.53	40
1.569	58.84	44
1.503	61.74	14
1.194	80.42	18
1.164	82.96	18

Structural model:
```
data_La3AlC
_symmetry_space_group_name_H-M 'P 1'
_symmetry_Int_Tables_number 1
_cell_length_a 5.205
_cell_length_b 5.205
_cell_length_c 5.205
_cell_angle_alpha 90.00
_cell_angle_beta 90.00
_cell_angle_gamma 90.00
loop_
_symmetry_equiv_pos_as_xyz
'x,y,z'
loop_
_atom_site_label
_atom_site_fract_x
_atom_site_fract_y
_atom_site_fract_z
La1 0.000 0.000 0.500
La2 0.000 0.500 0.000
La3 0.500 0.000 0.000
Al1 0.500 0.500 0.500
C1 0.000 0.000 0.000
```

=====

7.
Theoretical powder diffraction line list of Rb12CaCl4O4 for Cu Ka, from DFT lattice parameters and positions (PBE).
Neutral-atom scattering factors, no anomalous dispersion.

Principal peaks in the range 15 to 90 degrees two-theta, sorted by position:
d [Å]	2theta	intensity
5.520	16.06	46
3.584	24.84	50
3.491	25.52	59
3.218	27.72	94
3.188	27.99	61
3.029	29.49	62
3.013	29.65	90
2.828	31.64	100
2.738	32.70	63
2.532	35.46	45

Structural model:
```
data_Rb12CaCl4O4
_symmetry_space_group_name_H-M 'P 1'
_symmetry_Int_Tables_number 1
_cell_length_a 7.844
_cell_length_b 7.930
_cell_length_c 13.012
_cell_angle_alpha 84.36
_cell_angle_beta 77.87
_cell_angle_gamma 88.35
loop_
_symmetry_equiv_pos_as_xyz
'x,y,z'
loop_
_atom_site_label
_atom_site_fract_x
_atom_site_fract_y
_atom_site_fract_z
Rb1 0.000 0.000 0.000
Rb2 0.003 0.413 0.086
Rb3 0.060 0.595 0.620
Rb4 0.101 0.075 0.676
Rb5 0.292 0.688 0.859
Rb6 0.439 0.894 0.429
Rb7 0.498 0.407 0.164
Rb8 0.533 0.944 0.065
Rb9 0.557 0.516 0.601
Rb10 0.602 0.028 0.687
Rb11 0.726 0.366 0.854
Rb12 0.923 0.290 0.426
Ca1 0.093 0.771 0.232
Cl1 0.192 0.101 0.233
Cl2 0.297 0.273 0.843
Cl3 0.751 0.697 0.237
Cl4 0.818 0.780 0.843
O1 0.218 0.718 0.085
O2 0.356 0.807 0.641
O3 0.744 0.225 0.045
O4 0.839 0.307 0.633
```

=====

8.
Theoretical powder diffraction line list of CeSe2 for Cu Ka, from DFT lattice parameters and positions (PBE).
Neutral-atom scattering factors, no anomalous dispersion.

Principal peaks in the range 15 to 90 degrees two-theta, sorted by position:
d [Å]	2theta	intensity
5.139	17.26	44
4.766	18.62	45
4.454	19.93	66
4.010	22.17	64
3.635	24.49	100
3.617	24.61	60
2.293	39.30	58
2.227	40.50	48
2.182	41.37	52
2.099	43.09	42

Structural model:
```
data_CeSe2
_symmetry_space_group_name_H-M 'P 1'
_symmetry_Int_Tables_number 1
_cell_length_a 7.518
_cell_length_b 8.909
_cell_length_c 8.337
_cell_angle_alpha 90.00
_cell_angle_beta 105.79
_cell_angle_gamma 90.00
loop_
_symmetry_equiv_pos_as_xyz
'x,y,z'
loop_
_atom_site_label
_atom_site_fract_x
_atom_site_fract_y
_atom_site_fract_z
Ce1 0.000 0.000 0.000
Ce2 0.004 0.500 0.044
Ce3 0.428 0.500 0.704
Ce4 0.474 0.000 0.465
Se1 0.284 0.244 0.536
Se2 0.284 0.756 0.536
Se3 0.356 0.500 0.009
Se4 0.378 0.000 0.122
Se5 0.796 0.500 0.719
Se6 0.830 0.000 0.663
Se7 0.887 0.238 0.155
Se8 0.887 0.762 0.155
```